# Nd4PuSi4
Theoretical powder diffractogram, Cu Kα (λ = 1.5418 Å). Input: a crystal structure in Alexandria, relaxed with PBE.

Structure:
a = 8.9566 Å, b = 8.9566 Å, c = 6.0082 Å
α = 90.00°, β = 90.00°, γ = 90.00°
Space group P4_2/n (No. 86, origin choice 2)
Symmetry-distinct sites (fractional):
Nd1 0.0405 0.6767 0.1095 [8 per cell]
Pu1 0.2500 0.2500 0.2500 [2 per cell]
Si1 0.0086 0.6199 0.5991 [8 per cell]

Principal peaks in the range 15 to 90 degrees two-theta, most intense first:
two_theta  I/Imax  index
26.75  1000  2 1 1
31.59  720  1 3 0
24.80  298  2 0 1
31.41  269  1 0 2
53.37  232  5 0 1
45.28  232  4 2 0
37.42  223  1 2 2
47.49  179  2 3 2